Diffraction record for Cd6GePd12. The powder XRD pattern is computed, not measured: it uses a GGA-PBE-relaxed structure and a wavelength of 1.5418 Å.
Neutral-atom scattering factors, no anomalous dispersion.

Structure:
abc: 7.1196 7.1196 7.1196
angles: 84.20 84.20 84.20
Element x y z (fractional)
Cd: 0.1963 0.2520 0.5853
Cd: 0.2520 0.5853 0.1963
Cd: 0.4147 0.8037 0.7480
Cd: 0.5853 0.1963 0.2520
Cd: 0.7480 0.4147 0.8037
Cd: 0.8037 0.7480 0.4147
Ge: 0.0000 0.0000 0.0000
Pd: 0.0016 0.3247 0.0821
Pd: 0.0821 0.0016 0.3247
Pd: 0.1463 0.6502 0.5594
Pd: 0.3247 0.0821 0.0016
Pd: 0.3498 0.4406 0.8537
Pd: 0.4406 0.8537 0.3498
Pd: 0.5594 0.1463 0.6502
Pd: 0.6502 0.5594 0.1463
Pd: 0.6753 0.9179 0.9984
Pd: 0.8537 0.3498 0.4406
Pd: 0.9179 0.9984 0.6753
Pd: 0.9984 0.6753 0.9179

Top 8 peaks for 2θ = 10–90°, by angle:
29.3 deg, I 36; 32.5 deg, I 22; 34.3 deg, I 18; 39.3 deg, I 60; 39.9 deg, I 100; 41.6 deg, I 33; 44.3 deg, I 55; 74.7 deg, I 16


Diffraction record for Ca4AsS2Br. The powder XRD pattern is computed, not measured: it uses a GGA-PBE-relaxed structure and a wavelength of 1.5418 Å.
Neutral-atom scattering factors, no anomalous dispersion.

Structure:
abc: 7.2462 7.2462 7.2462
angles: 132.33 132.33 69.71
Element x y z (fractional)
Ca: 0.0000 0.5000 0.5000
Ca: 0.2364 0.2364 0.0000
Ca: 0.5000 0.0000 0.5000
Ca: 0.7636 0.7636 0.0000
As: 0.0000 0.0000 0.0000
S: 0.2500 0.7500 0.5000
S: 0.7500 0.2500 0.5000
Br: 0.5000 0.5000 0.0000

Top 8 peaks for 2θ = 10–90°, by angle:
30.1 deg, I 51; 30.5 deg, I 100; 43.4 deg, I 70; 43.7 deg, I 35; 54.0 deg, I 35; 71.9 deg, I 14; 72.1 deg, I 14; 80.1 deg, I 21


Diffraction record for Ac2ZrSe5. The powder XRD pattern is computed, not measured: it uses a GGA-PBE-relaxed structure and a wavelength of 1.5418 Å.
Neutral-atom scattering factors, no anomalous dispersion.

Structure:
abc: 12.2560 8.8490 7.9279
angles: 90.00 90.00 90.00
Element x y z (fractional)
Ac: 0.1704 0.0013 0.0676
Ac: 0.1704 0.4987 0.0676
Ac: 0.3296 0.5013 0.5676
Ac: 0.3296 0.9987 0.5676
Ac: 0.6704 0.0013 0.4324
Ac: 0.6704 0.4987 0.4324
Ac: 0.8296 0.5013 0.9324
Ac: 0.8296 0.9987 0.9324
Zr: 0.0104 0.2500 0.5744
Zr: 0.4896 0.7500 0.0744
Zr: 0.5104 0.2500 0.9256
Zr: 0.9896 0.7500 0.4256
Se: 0.0066 0.2500 0.9373
Se: 0.0674 0.5346 0.6791
Se: 0.0674 0.9654 0.6791
Se: 0.1927 0.2500 0.3673
Se: 0.2066 0.7500 0.3504
Se: 0.2934 0.2500 0.8504
Se: 0.3073 0.7500 0.8673
Se: 0.4326 0.0346 0.1791
Se: 0.4326 0.4654 0.1791
Se: 0.4934 0.7500 0.4373
Se: 0.5066 0.2500 0.5627
Se: 0.5674 0.5346 0.8209
Se: 0.5674 0.9654 0.8209
Se: 0.6927 0.2500 0.1327
Se: 0.7066 0.7500 0.1496
Se: 0.7934 0.2500 0.6496
Se: 0.8073 0.7500 0.6327
Se: 0.9326 0.0346 0.3209
Se: 0.9326 0.4654 0.3209
Se: 0.9934 0.7500 0.0627

Top 8 peaks for 2θ = 10–90°, by angle:
24.5 deg, I 47; 31.2 deg, I 100; 31.3 deg, I 41; 31.9 deg, I 98; 33.7 deg, I 46; 35.6 deg, I 30; 40.8 deg, I 40; 42.5 deg, I 33